Entry 1:
Starting from a DFT-relaxed cell (PBE, Alexandria), the PXRD pattern of Ce2OsPd was calculated for CuKα.
Lines closer than 0.1° are merged.

Cell and atoms:
```
data_Ce2OsPd
_cell_length_a 5.7306
_cell_length_b 5.7324
_cell_length_c 11.5210
_cell_angle_alpha 90.00
_cell_angle_beta 90.00
_cell_angle_gamma 90.00
_symmetry_space_group_name_H-M 'I m m a'
_symmetry_Int_Tables_number 74
_symmetry_space_group_name_Hall '-I 2b 2'
loop_
_atom_site_label
_atom_site_type_symbol
_atom_site_fract_x
_atom_site_fract_y
_atom_site_fract_z
Ce1 Ce 0.0000 0.2500 0.1140
Ce2 Ce 0.0000 0.2500 0.6354
Os1 Os 0.0000 0.2500 0.8750
Pd1 Pd 0.0000 0.2500 0.3744
```

Top 10 peaks for 2θ from 10° to 90°, sorted by position:
| hkl | 2θ/deg | d [Å] | Rel. int. |
| --- | --- | --- | --- |
| 1 0 1 | 17.28 | 5.132 | 11 |
| 0 0 4 | 31.05 | 2.880 | 49 |
| 2 0 0 | 31.21 | 2.866 | 100 |
| 2 0 4 | 44.60 | 2.032 | 72 |
| 2 2 0 | 44.72 | 2.026 | 37 |
| 2 2 4 | 55.44 | 1.657 | 38 |
| 4 0 0 | 65.10 | 1.433 | 12 |
| 2 0 8 | 73.61 | 1.287 | 15 |
| 2 4 0 | 73.90 | 1.282 | 24 |
| 4 2 4 | 82.35 | 1.171 | 24 |


Entry 2:
Starting from a DFT-relaxed cell (PBE, Alexandria), the PXRD pattern of Ce2PmOs9 was calculated for CuKα.
Lines closer than 0.1° are merged.

Cell and atoms:
```
data_Ce2PmOs9
_cell_length_a 9.1517
_cell_length_b 5.4556
_cell_length_c 9.2994
_cell_angle_alpha 90.00
_cell_angle_beta 109.67
_cell_angle_gamma 90.00
_symmetry_space_group_name_H-M 'C 1 2/m 1'
_symmetry_Int_Tables_number 12
loop_
_symmetry_equiv_pos_as_xyz
'x,y,z'
'-x,-y,-z'
'-x,y,-z'
'x,-y,z'
'x+1/2,y+1/2,z'
'-x+1/2,-y+1/2,-z'
'-x+1/2,y+1/2,-z'
'x+1/2,-y+1/2,z'
loop_
_atom_site_label
_atom_site_type_symbol
_atom_site_fract_x
_atom_site_fract_y
_atom_site_fract_z
Ce1 Ce 0.1375 0.0000 0.4224
Pm1 Pm 0.0000 0.0000 0.0000
Os1 Os 0.0000 0.5000 0.5000
Os2 Os 0.0969 0.5000 0.2617
Os3 Os 0.1374 0.5000 0.9946
Os4 Os 0.1713 0.2536 0.7634
```

Top 10 peaks for 2θ from 10° to 90°, sorted by position:
| hkl | 2θ/deg | d [Å] | Rel. int. |
| --- | --- | --- | --- |
| 1 1 0 | 19.26 | 4.610 | 62 |
| 2 0 2 | 33.71 | 2.659 | 70 |
| 2 2 -1 | 38.56 | 2.335 | 71 |
| 0 2 2 | 38.90 | 2.315 | 95 |
| 3 1 -3 | 39.46 | 2.283 | 99 |
| 3 1 1 | 39.76 | 2.267 | 77 |
| 0 0 4 | 41.24 | 2.189 | 74 |
| 2 2 1 | 42.34 | 2.135 | 100 |
| 4 0 -3 | 42.98 | 2.105 | 42 |
| 2 2 -3 | 45.54 | 1.992 | 44 |


Entry 3:
Starting from a DFT-relaxed cell (PBE, Alexandria), the PXRD pattern of Ce3PmOs2 was calculated for CuKα.
Lines closer than 0.1° are merged.

Cell and atoms:
```
data_Ce3PmOs2
_cell_length_a 16.9721
_cell_length_b 4.4527
_cell_length_c 8.5458
_cell_angle_alpha 90.00
_cell_angle_beta 119.21
_cell_angle_gamma 90.00
_symmetry_space_group_name_H-M 'C 1 2/m 1'
_symmetry_Int_Tables_number 12
loop_
_symmetry_equiv_pos_as_xyz
'x,y,z'
'-x,-y,-z'
'-x,y,-z'
'x,-y,z'
'x+1/2,y+1/2,z'
'-x+1/2,-y+1/2,-z'
'-x+1/2,y+1/2,-z'
'x+1/2,-y+1/2,z'
loop_
_atom_site_label
_atom_site_type_symbol
_atom_site_fract_x
_atom_site_fract_y
_atom_site_fract_z
Ce1 Ce 0.0797 0.0000 0.4149
Ce2 Ce 0.1220 0.5000 0.6921
Ce3 Ce 0.2132 0.5000 0.3619
Pm1 Pm 0.1083 0.0000 0.0226
Os1 Os 0.0233 0.5000 0.1938
Os2 Os 0.2336 0.0000 0.8906
```

Top 10 peaks for 2θ from 10° to 90°, sorted by position:
| hkl | 2θ/deg | d [Å] | Rel. int. |
| --- | --- | --- | --- |
| 4 0 -3 | 32.13 | 2.786 | 25 |
| 6 0 -2 | 32.27 | 2.774 | 48 |
| 3 1 1 | 33.02 | 2.712 | 100 |
| 5 1 -1 | 33.30 | 2.690 | 24 |
| 1 1 2 | 34.09 | 2.630 | 86 |
| 5 1 -2 | 34.49 | 2.600 | 30 |
| 5 1 0 | 36.41 | 2.467 | 35 |
| 3 1 -3 | 37.48 | 2.399 | 96 |
| 0 2 0 | 40.52 | 2.226 | 77 |
| 6 2 -2 | 52.72 | 1.736 | 25 |


Entry 4:
Starting from a DFT-relaxed cell (PBE, Alexandria), the PXRD pattern of Ce4Pm3Os4 was calculated for CuKα.
Lines closer than 0.1° are merged.

Cell and atoms:
```
data_Ce4Pm3Os4
_cell_length_a 4.6955
_cell_length_b 7.5297
_cell_length_c 15.0334
_cell_angle_alpha 90.00
_cell_angle_beta 90.00
_cell_angle_gamma 90.00
_symmetry_space_group_name_H-M 'I m m m'
_symmetry_Int_Tables_number 71
_symmetry_space_group_name_Hall '-I 2 2'
loop_
_atom_site_label
_atom_site_type_symbol
_atom_site_fract_x
_atom_site_fract_y
_atom_site_fract_z
Ce1 Ce 0.0000 0.2145 0.1647
Pm1 Pm 0.0000 0.0000 0.3955
Pm2 Pm 0.0000 0.5000 0.5000
Os1 Os 0.0000 0.3169 0.0000
Os2 Os 0.0000 0.5000 0.2863
```

Top 10 peaks for 2θ from 10° to 90°, sorted by position:
| hkl | 2θ/deg | d [Å] | Rel. int. |
| --- | --- | --- | --- |
| 1 2 1 | 31.02 | 2.883 | 100 |
| 0 1 5 | 32.05 | 2.792 | 23 |
| 1 1 4 | 32.76 | 2.734 | 67 |
| 1 2 3 | 35.43 | 2.533 | 22 |
| 2 0 0 | 38.34 | 2.348 | 46 |
| 1 3 2 | 42.58 | 2.123 | 32 |
| 1 2 5 | 43.05 | 2.101 | 19 |
| 0 2 6 | 43.38 | 2.086 | 17 |
| 1 0 7 | 46.50 | 1.953 | 16 |
| 0 3 5 | 47.17 | 1.927 | 17 |


Entry 5:
Starting from a DFT-relaxed cell (PBE, Alexandria), the PXRD pattern of CePm3Os was calculated for CuKα.
Lines closer than 0.1° are merged.

Cell and atoms:
```
data_CePm3Os
_cell_length_a 11.8072
_cell_length_b 8.9364
_cell_length_c 8.2634
_cell_angle_alpha 90.00
_cell_angle_beta 133.42
_cell_angle_gamma 90.00
_symmetry_space_group_name_H-M 'C 1 2/m 1'
_symmetry_Int_Tables_number 12
loop_
_symmetry_equiv_pos_as_xyz
'x,y,z'
'-x,-y,-z'
'-x,y,-z'
'x,-y,z'
'x+1/2,y+1/2,z'
'-x+1/2,-y+1/2,-z'
'-x+1/2,y+1/2,-z'
'x+1/2,-y+1/2,z'
loop_
_atom_site_label
_atom_site_type_symbol
_atom_site_fract_x
_atom_site_fract_y
_atom_site_fract_z
Ce1 Ce 0.0467 0.0000 0.3433
Pm1 Pm 0.0540 0.5000 0.2607
Pm2 Pm 0.2457 0.1969 0.2043
Os1 Os 0.2377 0.0000 0.8642
```

Top 10 peaks for 2θ from 10° to 90°, sorted by position:
| hkl | 2θ/deg | d [Å] | Rel. int. |
| --- | --- | --- | --- |
| 1 1 -1 | 14.60 | 6.067 | 36 |
| 0 2 0 | 19.87 | 4.468 | 38 |
| 2 0 0 | 20.72 | 4.288 | 36 |
| 2 2 0 | 28.86 | 3.094 | 41 |
| 2 2 -2 | 29.45 | 3.033 | 100 |
| 0 0 2 | 29.77 | 3.001 | 54 |
| 4 0 -2 | 30.30 | 2.950 | 41 |
| 1 3 -1 | 31.94 | 2.802 | 82 |
| 2 0 1 | 32.98 | 2.716 | 34 |
| 3 1 -3 | 34.05 | 2.633 | 89 |


Entry 6:
Starting from a DFT-relaxed cell (PBE, Alexandria), the PXRD pattern of Ce2PrOs9 was calculated for CuKα.
Lines closer than 0.1° are merged.

Cell and atoms:
```
data_Ce2PrOs9
_cell_length_a 5.3249
_cell_length_b 5.3599
_cell_length_c 9.2688
_cell_angle_alpha 106.69
_cell_angle_beta 90.90
_cell_angle_gamma 118.21
_symmetry_space_group_name_H-M 'P -1'
_symmetry_Int_Tables_number 2
loop_
_symmetry_equiv_pos_as_xyz
'x,y,z'
'-x,-y,-z'
loop_
_atom_site_label
_atom_site_type_symbol
_atom_site_fract_x
_atom_site_fract_y
_atom_site_fract_z
Ce1 Ce 0.1356 0.2837 0.4218
Pr1 Pr 0.0000 0.0000 0.0000
Os1 Os 0.0838 0.6631 0.2400
Os2 Os 0.3563 0.6369 0.0061
Os3 Os 0.4039 0.3384 0.7377
Os4 Os 0.4262 0.8469 0.7645
Os5 Os 0.5000 0.0000 0.5000
```

Top 10 peaks for 2θ from 10° to 90°, sorted by position:
| hkl | 2θ/deg | d [Å] | Rel. int. |
| --- | --- | --- | --- |
| 1 -1 3 | 33.75 | 2.656 | 49 |
| 0 2 -1 | 38.24 | 2.353 | 34 |
| 1 1 -3 | 38.77 | 2.323 | 100 |
| -1 2 1 | 39.32 | 2.292 | 38 |
| -2 1 2 | 39.57 | 2.277 | 72 |
| 2 -1 2 | 39.80 | 2.265 | 42 |
| 0 0 4 | 41.35 | 2.183 | 64 |
| 2 0 1 | 42.26 | 2.139 | 30 |
| 0 1 3 | 42.45 | 2.130 | 33 |
| -2 2 1 | 42.93 | 2.107 | 42 |


Entry 7:
Starting from a DFT-relaxed cell (PBE, Alexandria), the PXRD pattern of Ce5Pr2Os3 was calculated for CuKα.
Lines closer than 0.1° are merged.

Cell and atoms:
```
data_Ce5Pr2Os3
_cell_length_a 11.7225
_cell_length_b 14.9953
_cell_length_c 6.2676
_cell_angle_alpha 90.00
_cell_angle_beta 111.41
_cell_angle_gamma 90.00
_symmetry_space_group_name_H-M 'C 1 2/c 1'
_symmetry_Int_Tables_number 15
loop_
_symmetry_equiv_pos_as_xyz
'x,y,z'
'-x,-y,-z'
'-x,y,-z+1/2'
'x,-y,z+1/2'
'x+1/2,y+1/2,z'
'-x+1/2,-y+1/2,-z'
'-x+1/2,y+1/2,-z+1/2'
'x+1/2,-y+1/2,z+1/2'
loop_
_atom_site_label
_atom_site_type_symbol
_atom_site_fract_x
_atom_site_fract_y
_atom_site_fract_z
Ce1 Ce 0.0000 0.0180 0.2500
Ce2 Ce 0.1199 0.3431 0.5289
Ce3 Ce 0.2084 0.4483 0.1121
Pr1 Pr 0.1151 0.2045 0.0546
Os1 Os 0.0000 0.4968 0.2500
Os2 Os 0.1541 0.1508 0.5824
```

Top 10 peaks for 2θ from 10° to 90°, sorted by position:
| hkl | 2θ/deg | d [Å] | Rel. int. |
| --- | --- | --- | --- |
| 1 3 0 | 19.53 | 4.544 | 14 |
| 2 4 0 | 28.91 | 3.088 | 15 |
| 2 4 -1 | 29.76 | 3.002 | 31 |
| 2 2 -2 | 31.37 | 2.851 | 19 |
| 0 2 2 | 32.96 | 2.718 | 33 |
| 4 2 0 | 35.00 | 2.564 | 38 |
| 4 0 -2 | 35.95 | 2.498 | 100 |
| 0 4 2 | 39.13 | 2.302 | 18 |
| 2 0 2 | 40.01 | 2.253 | 21 |
| 3 5 -3 | 54.08 | 1.696 | 18 |


Entry 8:
Starting from a DFT-relaxed cell (PBE, Alexandria), the PXRD pattern of Ce2PrOs2 was calculated for CuKα.
Lines closer than 0.1° are merged.

Cell and atoms:
```
data_Ce2PrOs2
_cell_length_a 12.2926
_cell_length_b 4.1983
_cell_length_c 10.6220
_cell_angle_alpha 90.00
_cell_angle_beta 117.14
_cell_angle_gamma 90.00
_symmetry_space_group_name_H-M 'C 1 2/m 1'
_symmetry_Int_Tables_number 12
loop_
_symmetry_equiv_pos_as_xyz
'x,y,z'
'-x,-y,-z'
'-x,y,-z'
'x,-y,z'
'x+1/2,y+1/2,z'
'-x+1/2,-y+1/2,-z'
'-x+1/2,y+1/2,-z'
'x+1/2,-y+1/2,z'
loop_
_atom_site_label
_atom_site_type_symbol
_atom_site_fract_x
_atom_site_fract_y
_atom_site_fract_z
Ce1 Ce 0.0527 0.0000 0.2091
Ce2 Ce 0.1792 0.0000 0.5863
Pr1 Pr 0.1899 0.5000 0.8528
Os1 Os 0.0639 0.5000 0.4251
Os2 Os 0.1173 0.5000 0.0851
```

Top 10 peaks for 2θ from 10° to 90°, sorted by position:
| hkl | 2θ/deg | d [Å] | Rel. int. |
| --- | --- | --- | --- |
| 1 1 0 | 22.69 | 3.920 | 27 |
| 3 1 -1 | 30.53 | 2.928 | 39 |
| 1 1 2 | 31.96 | 2.800 | 81 |
| 1 1 -3 | 33.45 | 2.679 | 35 |
| 3 1 -3 | 35.13 | 2.554 | 100 |
| 3 1 1 | 37.02 | 2.428 | 52 |
| 4 0 1 | 38.21 | 2.356 | 35 |
| 5 1 -2 | 42.62 | 2.121 | 28 |
| 0 2 0 | 43.09 | 2.099 | 56 |
| 7 1 -2 | 57.35 | 1.607 | 29 |


Entry 9:
Starting from a DFT-relaxed cell (PBE, Alexandria), the PXRD pattern of Ce7Os2Pt2 was calculated for CuKα.
Lines closer than 0.1° are merged.

Cell and atoms:
```
data_Ce7Os2Pt2
_cell_length_a 3.9828
_cell_length_b 14.6427
_cell_length_c 9.4761
_cell_angle_alpha 90.00
_cell_angle_beta 90.00
_cell_angle_gamma 90.00
_symmetry_space_group_name_H-M 'I m m 2'
_symmetry_Int_Tables_number 44
loop_
_symmetry_equiv_pos_as_xyz
'x,y,z'
'-x,-y,z'
'-x,y,z'
'x,-y,z'
'x+1/2,y+1/2,z+1/2'
'-x+1/2,-y+1/2,z+1/2'
'-x+1/2,y+1/2,z+1/2'
'x+1/2,-y+1/2,z+1/2'
loop_
_atom_site_label
_atom_site_type_symbol
_atom_site_fract_x
_atom_site_fract_y
_atom_site_fract_z
Ce1 Ce 0.0000 0.0000 0.0000
Ce2 Ce 0.0000 0.1019 0.3922
Ce3 Ce 0.0000 0.3091 0.6271
Ce4 Ce 0.0000 0.3763 0.2346
Os1 Os 0.0000 0.0000 0.6662
Os2 Os 0.0000 0.5000 0.7064
Pt1 Pt 0.0000 0.2391 0.9266
```

Top 10 peaks for 2θ from 10° to 90°, sorted by position:
| hkl | 2θ/deg | d [Å] | Rel. int. |
| --- | --- | --- | --- |
| 0 2 2 | 22.35 | 3.978 | 20 |
| 0 1 3 | 28.93 | 3.087 | 20 |
| 1 1 2 | 29.94 | 2.985 | 34 |
| 0 5 1 | 31.99 | 2.798 | 20 |
| 1 4 1 | 34.62 | 2.591 | 100 |
| 1 0 3 | 36.30 | 2.475 | 26 |
| 0 0 4 | 37.98 | 2.369 | 13 |
| 1 2 3 | 38.39 | 2.345 | 32 |
| 0 6 2 | 41.63 | 2.170 | 21 |
| 2 0 0 | 45.56 | 1.991 | 30 |


Entry 10:
Starting from a DFT-relaxed cell (PBE, Alexandria), the PXRD pattern of CePu2Os2 was calculated for CuKα.
Lines closer than 0.1° are merged.

Cell and atoms:
```
data_CePu2Os2
_cell_length_a 6.5686
_cell_length_b 3.9035
_cell_length_c 8.5799
_cell_angle_alpha 90.00
_cell_angle_beta 109.87
_cell_angle_gamma 90.00
_symmetry_space_group_name_H-M 'P 1 21/m 1'
_symmetry_Int_Tables_number 11
loop_
_symmetry_equiv_pos_as_xyz
'x,y,z'
'-x,-y,-z'
'-x,y+1/2,-z'
'x,-y+1/2,z'
loop_
_atom_site_label
_atom_site_type_symbol
_atom_site_fract_x
_atom_site_fract_y
_atom_site_fract_z
Ce1 Ce 0.2334 0.2500 0.1608
Pu1 Pu 0.1653 0.7500 0.7682
Pu2 Pu 0.4237 0.2500 0.5409
Os1 Os 0.0994 0.7500 0.4250
Os2 Os 0.4759 0.2500 0.8763
```

Top 10 peaks for 2θ from 10° to 90°, sorted by position:
| hkl | 2θ/deg | d [Å] | Rel. int. |
| --- | --- | --- | --- |
| 0 0 1 | 10.96 | 8.069 | 38 |
| 1 1 1 | 31.09 | 2.877 | 27 |
| 1 0 -3 | 31.44 | 2.845 | 24 |
| 0 0 3 | 33.31 | 2.690 | 35 |
| 2 1 -1 | 35.75 | 2.512 | 100 |
| 2 0 -3 | 36.06 | 2.491 | 23 |
| 2 1 0 | 37.12 | 2.422 | 65 |
| 1 1 2 | 38.24 | 2.353 | 28 |
| 0 1 3 | 40.74 | 2.215 | 66 |
| 0 2 0 | 46.53 | 1.952 | 46 |


Entry 11:
Starting from a DFT-relaxed cell (PBE, Alexandria), the PXRD pattern of Ce3PuOs3 was calculated for CuKα.
Lines closer than 0.1° are merged.

Cell and atoms:
```
data_Ce3PuOs3
_cell_length_a 10.6304
_cell_length_b 9.5078
_cell_length_c 6.5140
_cell_angle_alpha 90.00
_cell_angle_beta 102.32
_cell_angle_gamma 90.00
_symmetry_space_group_name_H-M 'C 1 2/m 1'
_symmetry_Int_Tables_number 12
loop_
_symmetry_equiv_pos_as_xyz
'x,y,z'
'-x,-y,-z'
'-x,y,-z'
'x,-y,z'
'x+1/2,y+1/2,z'
'-x+1/2,-y+1/2,-z'
'-x+1/2,y+1/2,-z'
'x+1/2,-y+1/2,z'
loop_
_atom_site_label
_atom_site_type_symbol
_atom_site_fract_x
_atom_site_fract_y
_atom_site_fract_z
Ce1 Ce 0.0000 0.1898 0.0000
Ce2 Ce 0.0000 0.2841 0.5000
Ce3 Ce 0.1927 0.5000 0.0078
Pu1 Pu 0.2168 0.0000 0.4394
Os1 Os 0.0566 0.0000 0.7197
Os2 Os 0.2410 0.2470 0.7475
```

Top 10 peaks for 2θ from 10° to 90°, sorted by position:
| hkl | 2θ/deg | d [Å] | Rel. int. |
| --- | --- | --- | --- |
| 1 1 0 | 12.62 | 7.013 | 43 |
| 2 0 0 | 17.08 | 5.193 | 20 |
| 1 1 -2 | 29.10 | 3.069 | 15 |
| 3 1 1 | 33.35 | 2.686 | 32 |
| 1 3 1 | 33.53 | 2.673 | 15 |
| 4 0 0 | 34.55 | 2.596 | 37 |
| 2 2 -2 | 35.25 | 2.546 | 100 |
| 0 4 0 | 37.85 | 2.377 | 43 |
| 2 2 2 | 40.95 | 2.204 | 61 |
| 5 3 -1 | 52.05 | 1.757 | 18 |


Entry 12:
Starting from a DFT-relaxed cell (PBE, Alexandria), the PXRD pattern of Ce14Pu3Os6 was calculated for CuKα.
Lines closer than 0.1° are merged.

Cell and atoms:
```
data_Ce14Pu3Os6
_cell_length_a 9.9567
_cell_length_b 9.9567
_cell_length_c 6.2046
_cell_angle_alpha 90.00
_cell_angle_beta 90.00
_cell_angle_gamma 120.00
_symmetry_space_group_name_H-M 'P 3 m 1'
_symmetry_Int_Tables_number 156
loop_
_symmetry_equiv_pos_as_xyz
'x,y,z'
'-y,x-y,z'
'-x+y,-x,z'
'-y,-x,z'
'-x+y,y,z'
'x,x-y,z'
loop_
_atom_site_label
_atom_site_type_symbol
_atom_site_fract_x
_atom_site_fract_y
_atom_site_fract_z
Ce1 Ce 0.0000 0.0000 0.0000
Ce2 Ce 0.0748 0.5374 0.2900
Ce3 Ce 0.1949 0.3897 0.7527
Ce4 Ce 0.3036 0.1518 0.4575
Ce5 Ce 0.3698 0.1849 0.9667
Ce6 Ce 0.6667 0.3333 0.5228
Pu1 Pu 0.0000 0.0000 0.5791
Pu2 Pu 0.3333 0.6667 0.9485
Pu3 Pu 0.6667 0.3333 0.1026
Os1 Os 0.1485 0.2970 0.2637
Os2 Os 0.5179 0.0357 0.7905
```

Top 10 peaks for 2θ from 10° to 90°, sorted by position:
| hkl | 2θ/deg | d [Å] | Rel. int. |
| --- | --- | --- | --- |
| 2 0 1 | 25.15 | 3.541 | 15 |
| 0 1 2 | 30.63 | 2.919 | 18 |
| 1 2 1 | 30.99 | 2.885 | 23 |
| 1 1 2 | 34.05 | 2.633 | 28 |
| 0 3 1 | 34.39 | 2.608 | 24 |
| 2 0 2 | 35.65 | 2.518 | 54 |
| 2 2 0 | 36.08 | 2.489 | 100 |
| 3 0 2 | 42.89 | 2.108 | 22 |
| 3 2 1 | 48.30 | 1.884 | 15 |
| 0 4 2 | 51.63 | 1.770 | 14 |


Entry 13:
Starting from a DFT-relaxed cell (PBE, Alexandria), the PXRD pattern of Ce4Os2Rh was calculated for CuKα.
Lines closer than 0.1° are merged.

Cell and atoms:
```
data_Ce4Os2Rh
_cell_length_a 12.1995
_cell_length_b 8.6593
_cell_length_c 8.5950
_cell_angle_alpha 90.00
_cell_angle_beta 134.78
_cell_angle_gamma 90.00
_symmetry_space_group_name_H-M 'C 1 2 1'
_symmetry_Int_Tables_number 5
loop_
_symmetry_equiv_pos_as_xyz
'x,y,z'
'-x,y,-z'
'x+1/2,y+1/2,z'
'-x+1/2,y+1/2,-z'
loop_
_atom_site_label
_atom_site_type_symbol
_atom_site_fract_x
_atom_site_fract_y
_atom_site_fract_z
Ce1 Ce 0.0600 0.0000 0.3658
Ce2 Ce 0.0606 0.3796 0.2548
Ce3 Ce 0.1898 0.6295 0.7458
Ce4 Ce 0.1899 0.7501 0.1343
Os1 Os 0.0000 0.0706 0.0000
Os2 Os 0.0000 0.3095 0.5000
Os3 Os 0.1193 0.6899 0.3695
Rh1 Rh 0.2497 0.4397 0.1246
```

Top 10 peaks for 2θ from 10° to 90°, sorted by position:
| hkl | 2θ/deg | d [Å] | Rel. int. |
| --- | --- | --- | --- |
| 1 3 0 | 32.72 | 2.737 | 100 |
| 2 0 -3 | 32.93 | 2.720 | 42 |
| 1 3 1 | 38.97 | 2.311 | 44 |
| 5 1 -3 | 39.11 | 2.303 | 29 |
| 6 0 -2 | 46.97 | 1.934 | 15 |
| 6 2 -3 | 49.51 | 1.841 | 18 |
| 3 3 1 | 54.01 | 1.698 | 14 |
| 1 1 -4 | 54.27 | 1.690 | 15 |
| 7 1 -1 | 66.61 | 1.404 | 19 |
| 8 2 -1 | 81.76 | 1.178 | 14 |